No. 1
Fe9Co7: theoretical powder diffractogram (Cu Kα (λ = 1.5418 Å)), based on a GGA-PBE-relaxed structure.

Atomic structure:
Lattice parameters (Å, degrees): 5.6965 5.6965 5.6965 90.00 90.00 90.00
Sites, in units of the cell vectors:
1 Fe 0.0000 0.0000 0.0000
2 Fe 0.2501 0.2501 0.2501
3 Fe 0.2501 0.2501 0.7499
4 Fe 0.2501 0.7499 0.2501
5 Fe 0.2501 0.7499 0.7499
6 Fe 0.7499 0.2501 0.2501
7 Fe 0.7499 0.2501 0.7499
8 Fe 0.7499 0.7499 0.2501
9 Fe 0.7499 0.7499 0.7499
10 Co 0.0000 0.0000 0.5000
11 Co 0.0000 0.5000 0.0000
12 Co 0.0000 0.5000 0.5000
13 Co 0.5000 0.0000 0.0000
14 Co 0.5000 0.0000 0.5000
15 Co 0.5000 0.5000 0.0000
16 Co 0.5000 0.5000 0.5000

Peak list (3 most intense, 10° ≤ 2θ ≤ 90°, in order of rising 2θ)
45.0 deg, d = 2.014 Å, intensity 100; 65.5 deg, d = 1.424 Å, intensity 15; 83.1 deg, d = 1.163 Å, intensity 29

***

No. 2
AcPr2UAs4: theoretical powder diffractogram (Cu Kα (λ = 1.5418 Å)), based on a GGA-PBE-relaxed structure.

Atomic structure:
Lattice parameters (Å, degrees): 7.4848 7.4743 6.1075 65.99 65.81 48.19
Sites, in units of the cell vectors:
1 Ac 0.0000 0.0000 0.0000
2 Pr 0.2500 0.2500 0.2500
3 Pr 0.5000 0.5000 0.5000
4 U 0.7500 0.7500 0.7500
5 As 0.2546 0.2546 0.7454
6 As 0.5113 0.5113 0.9887
7 As 0.7454 0.7454 0.2546
8 As 0.9887 0.9887 0.5113

Peak list (10 most intense, 10° ≤ 2θ ≤ 90°, in order of rising 2θ)
25.3 deg, d = 3.526 Å, intensity 31; 29.2 deg, d = 3.054 Å, intensity 100; 41.8 deg, d = 2.160 Å, intensity 63; 41.9 deg, d = 2.155 Å, intensity 13; 51.8 deg, d = 1.765 Å, intensity 14; 51.9 deg, d = 1.761 Å, intensity 13; 60.7 deg, d = 1.527 Å, intensity 13; 68.7 deg, d = 1.366 Å, intensity 23; 76.3 deg, d = 1.248 Å, intensity 13; 76.5 deg, d = 1.245 Å, intensity 13

***

No. 3
Tb4Ho4Th3: theoretical powder diffractogram (Cu Kα (λ = 1.5418 Å)), based on a GGA-PBE-relaxed structure.

Atomic structure:
Lattice parameters (Å, degrees): 5.6978 3.5583 17.6338 90.00 99.29 90.00
Sites, in units of the cell vectors:
1 Tb 0.0981 0.0000 0.1960
2 Tb 0.2799 0.0000 0.5601
3 Tb 0.7201 0.0000 0.4399
4 Tb 0.9019 0.0000 0.8040
5 Ho 0.1896 0.5000 0.3791
6 Ho 0.4540 0.0000 0.9084
7 Ho 0.5460 0.0000 0.0916
8 Ho 0.8104 0.5000 0.6209
9 Th 0.0000 0.5000 0.0000
10 Th 0.3688 0.5000 0.7380
11 Th 0.6312 0.5000 0.2620

Peak list (10 most intense, 10° ≤ 2θ ≤ 90°, in order of rising 2θ)
29.4 deg, d = 3.033 Å, intensity 17; 31.4 deg, d = 2.849 Å, intensity 29; 32.3 deg, d = 2.768 Å, intensity 100; 34.8 deg, d = 2.580 Å, intensity 9; 43.6 deg, d = 2.077 Å, intensity 12; 49.1 deg, d = 1.856 Å, intensity 11; 56.5 deg, d = 1.629 Å, intensity 21; 59.4 deg, d = 1.555 Å, intensity 12; 61.4 deg, d = 1.509 Å, intensity 9; 62.0 deg, d = 1.496 Å, intensity 14